This entry pairs a crystal structure of Er2TmMoO8 with its computed X-ray powder pattern. Radiation: Cu Kα X-rays. Structure: the GGA+U geometry in Alexandria.
No peak broadening, texture or thermal motion is included.

Largest 10 diffraction maxima, most intense first, 2θ = 15–90°:
| h k l | 2θ (°) | d (Å) | Rel. int. |
| --- | --- | --- | --- |
| 1 1 2 | 32.11 | 2.788 | 100.0 |
| 0 2 0 | 24.93 | 3.571 | 59.8 |
| 2 0 0 | 25.30 | 3.521 | 55.3 |
| 1 3 2 | 48.65 | 1.872 | 40.9 |
| 3 1 2 | 49.06 | 1.857 | 37.6 |
| 2 2 0 | 35.82 | 2.507 | 29.8 |
| 3 3 2 | 62.04 | 1.496 | 22.5 |
| 2 2 4 | 67.15 | 1.394 | 11.1 |
| 4 2 0 | 58.45 | 1.579 | 10.7 |
| 0 2 4 | 61.04 | 1.518 | 10.1 |

Structure:
```
data_Er2TmMoO8
_cell_length_a 7.0416
_cell_length_b 7.1422
_cell_length_c 6.7080
_cell_angle_alpha 90.00
_cell_angle_beta 90.00
_cell_angle_gamma 90.00
_symmetry_space_group_name_H-M 'C m m m'
_symmetry_Int_Tables_number 65
_symmetry_space_group_name_Hall '-C 2 2'
loop_
_atom_site_label
_atom_site_type_symbol
_atom_site_fract_x
_atom_site_fract_y
_atom_site_fract_z
Er1 Er 0.0000 0.0000 0.2493
Tm1 Tm 0.0000 0.5000 0.0000
Mo1 Mo 0.0000 0.5000 0.5000
O1 O 0.0000 0.3164 0.2843
O2 O 0.1944 0.0000 0.0000
O3 O 0.2234 0.0000 0.5000
```